No. 1
The following is a theoretical powder diffraction line list of Zr2Ta4Ni3C3. It was derived from a structure optimized by DFT (GGA-PBE), using Cu Kα, 1.54184 Å.
Lines closer than 0.1° are merged.

Structural model:
```
Zr2Ta4Ni3C3
1.0
4.6931 -2.7072 0.0000
4.6931 2.7072 0.0000
-3.2626 0.0000 13.2126
Zr Ta Ni C
4 8 6 6
Cartesian
2.2940 2.2637 8.1380
2.1984 2.2637 11.6808
3.9253 -2.2637 1.5317
3.8297 -2.2637 5.0746
2.3112 0.4393 1.1845
2.2869 0.4856 5.4223
0.6799 -0.4393 7.7908
0.6556 -0.4856 12.0286
5.4682 0.4856 1.1840
5.4439 0.4393 5.4218
3.8369 -0.4856 7.7903
3.8126 -0.4393 12.0280
-0.1748 0.8453 9.9094
1.4565 -0.8453 3.3031
3.8775 0.3955 3.3031
2.2462 -0.3955 9.9094
4.6672 0.8453 9.9095
6.2985 -0.8453 3.3032
0.7153 1.3536 6.6063
3.9081 1.3498 0.0013
3.8469 1.3498 6.6049
2.3466 -1.3536 0.0000
2.2768 -1.3498 6.6076
2.2157 -1.3498 13.2112
```

Top 8 peaks for 5 to 70 degrees two-theta, sorted by position:
Position (°2θ)	I_rel
26.99	31.2
33.08	57.2
33.76	60.3
38.88	99.6
39.06	100.0
39.20	95.4
40.99	61.8
59.08	49.9

=====

No. 2
The following is a theoretical powder diffraction line list of Mg2CuGeS4. It was derived from a structure optimized by DFT (GGA-PBE), using Cu Kα, 1.54184 Å.
Lines closer than 0.1° are merged.

Structural model:
```
Mg2CuGeS4
1.0
-2.8274 2.8274 5.4691
2.8274 -2.8274 5.4691
2.8274 2.8274 -5.4691
Mg Cu Ge S
2 1 1 4
Cartesian
2.8274 0.0000 2.7346
0.0000 2.8274 2.7346
0.0000 0.0000 0.0000
0.0000 0.0000 5.4691
1.3574 1.3574 -1.3112
1.4701 -1.4701 6.7803
1.4701 1.4701 4.1579
-1.4701 1.4701 6.7803
```

Top 8 peaks for 5 to 70 degrees two-theta, sorted by position:
Position (°2θ)	I_rel
16.21	15.8
22.23	12.9
27.64	100.0
45.36	22.7
46.18	42.9
53.95	27.6
55.39	12.7
66.09	6.8

=====

No. 3
The following is a theoretical powder diffraction line list of TaAg. It was derived from a structure optimized by DFT (GGA-PBE), using Cu Kα, 1.54184 Å.
Lines closer than 0.1° are merged.

Structural model:
```
TaAg
1.0
2.8706 0.0000 0.0000
-1.4353 2.4860 0.0000
0.0000 0.0000 4.9582
Ta Ag
1 1
Cartesian
0.0000 0.0000 0.0000
0.0000 1.6573 2.4791
```

Top 8 peaks for 5 to 70 degrees two-theta, sorted by position:
Position (°2θ)	I_rel
17.89	8.3
36.13	26.1
36.23	30.0
40.60	100.0
52.10	18.5
64.97	16.0
68.00	1.8
68.13	21.3

=====

No. 4
The following is a theoretical powder diffraction line list of CsHfF5. It was derived from a structure optimized by DFT (GGA-PBE), using Cu Kα, 1.54184 Å.
Lines closer than 0.1° are merged.

Structural model:
```
CsHfF5
1.0
7.6007 0.0000 0.0000
0.0000 7.7904 0.0000
-3.9942 0.0000 6.6961
Cs Hf F
4 4 20
Cartesian
-0.4910 7.7879 1.9788
-2.4881 3.8977 5.3269
4.0975 0.0025 4.7173
6.0946 3.8927 1.3692
3.1467 1.2670 1.0904
1.1496 2.6281 4.4384
2.4569 5.1622 2.2577
0.4598 6.5233 5.6057
1.2893 1.6605 0.4628
-0.7078 2.2347 3.8108
1.0259 5.5581 0.9184
-0.9713 6.1274 4.2664
0.8100 3.9001 2.7583
-1.1871 7.7855 6.1063
0.9681 0.5042 4.7414
2.0510 1.6191 2.9182
0.0539 2.2760 6.2663
2.9652 3.3910 1.3933
0.6413 4.3993 5.3028
3.5526 5.5143 0.4298
1.5555 6.1712 3.7779
2.6385 7.2862 1.9547
4.7936 0.0049 0.5898
2.7965 3.8903 3.9379
4.5778 1.6630 2.4297
2.5807 2.2322 5.7777
4.3143 5.5556 2.8853
2.3172 6.1299 6.2334
```

Top 8 peaks for 5 to 70 degrees two-theta, sorted by position:
Position (°2θ)	I_rel
13.57	43.9
26.09	60.5
26.47	59.8
26.64	100.0
27.32	38.5
29.04	36.9
32.49	37.7
50.95	56.2

=====

Number 4 is which compound?
CsHfF5